Diffraction record for Ba2Ni5Ge4. The X-ray diffraction stick pattern is simulated, not measured: it uses the PBE geometry in the Materials Project and Cu Ka.
Kinematic intensities with the Lorentz-polarization factor, no thermal factor.

Atomic structure:
```
data_Ba2Ni5Ge4
_chemical_formula_sum 'Ba4 Ni10 Ge8'
_symmetry_space_group_name_H-M 'C 1 2/m 1'
_symmetry_Int_Tables_number 12
_symmetry_space_group_name_Hall '-C 2y'
_cell_length_a 12.5265
_cell_length_b 4.0405
_cell_length_c 9.6743
_cell_angle_alpha 90.00
_cell_angle_beta 119.00
_cell_angle_gamma 90.00
loop_
_atom_site_label
_atom_site_fract_x
_atom_site_fract_y
_atom_site_fract_z
_atom_site_occupancy
Ba1 0.1777 0.0000 0.1449 1
Ni1 0.0000 0.5000 0.5000 1
Ni2 0.0349 0.0000 0.6972 1
Ni3 0.1639 0.5000 0.4243 1
Ge1 0.0316 0.5000 0.8086 1
Ge2 0.1420 0.0000 0.5519 1
```

Most intense lines, 2θ = 5–70°, low angle first:
index, d/Å, I_rel
0 0 1, 8.462, 88
1 1 -2, 3.093, 100
4 0 -2, 3.079, 97
3 1 0, 2.709, 59
1 1 2, 2.614, 100
3 1 -3, 2.441, 82
4 0 1, 2.299, 57
0 2 0, 2.020, 81
5 1 -4, 1.877, 65
1 1 -5, 1.652, 52